(1)
# Rb3TiF6
Calculated powder diffraction line list, Cu Kα (weighted mean of Kα1 and Kα2). Input: a cell relaxed with PBE.
Kinematic intensities with the Lorentz-polarization factor, no thermal factor.

Cell and atoms:
```
data_Rb3TiF6
_chemical_formula_sum 'Rb12 Ti4 F24'
_cell_length_a 9.317
_cell_length_b 9.317
_cell_length_c 9.317
_cell_angle_alpha 90.00
_cell_angle_beta 90.00
_cell_angle_gamma 90.00
_symmetry_space_group_name_H-M 'F m -3 m'
_symmetry_Int_Tables_number 225
_symmetry_space_group_name_Hall '-F 4 2 3'
loop_
_atom_site_label
_atom_site_type_symbol
_atom_site_fract_x
_atom_site_fract_y
_atom_site_fract_z
Rb1 Rb 0.000 0.000 0.000
Rb2 Rb 0.250 0.250 0.250
Ti1 Ti 0.000 0.000 0.500
F1 F 0.000 0.000 0.286
```

Main lines, low angle first (5 to 70 degrees two-theta):
27.07°, 3.294 Å, I = 100, (2 2 0)
31.86°, 2.809 Å, I = 4, (3 1 1)
33.31°, 2.690 Å, I = 11, (2 2 2)
38.66°, 2.329 Å, I = 42, (4 0 0)
42.28°, 2.137 Å, I = 5, (3 3 1)
47.83°, 1.902 Å, I = 37, (4 2 2)
55.82°, 1.647 Å, I = 24, (4 4 0)
63.11°, 1.473 Å, I = 21, (6 2 0)
66.58°, 1.405 Å, I = 2, (6 2 2)
69.96°, 1.345 Å, I = 7, (4 4 4)



(2)
# Sm4In21Pd10
Calculated powder diffraction line list, Cu Kα (weighted mean of Kα1 and Kα2). Input: a cell relaxed with PBE.
Kinematic intensities with the Lorentz-polarization factor, no thermal factor.

Cell and atoms:
```
data_Sm4In21Pd10
_chemical_formula_sum 'Sm8 In42 Pd20'
_cell_length_a 23.285
_cell_length_b 4.507
_cell_length_c 17.502
_cell_angle_alpha 90.00
_cell_angle_beta 123.65
_cell_angle_gamma 90.00
_symmetry_space_group_name_H-M 'C 1 2/m 1'
_symmetry_Int_Tables_number 12
loop_
_symmetry_equiv_pos_as_xyz
'x,y,z'
'-x,-y,-z'
'-x,y,-z'
'x,-y,z'
'x+1/2,y+1/2,z'
'-x+1/2,-y+1/2,-z'
'-x+1/2,y+1/2,-z'
'x+1/2,-y+1/2,z'
loop_
_atom_site_label
_atom_site_type_symbol
_atom_site_fract_x
_atom_site_fract_y
_atom_site_fract_z
Sm1 Sm 0.122 0.000 0.332
Sm2 Sm 0.230 0.000 0.828
In1 In 0.000 0.500 0.500
In2 In 0.012 0.000 0.094
In3 In 0.042 0.500 0.367
In4 In 0.064 0.000 0.797
In5 In 0.101 0.500 0.996
In6 In 0.115 0.000 0.551
In7 In 0.116 0.500 0.705
In8 In 0.132 0.500 0.200
In9 In 0.201 0.500 0.500
In10 In 0.202 0.000 0.005
In11 In 0.249 0.500 0.706
Pd1 Pd 0.007 0.500 0.188
Pd2 Pd 0.025 0.000 0.612
Pd3 Pd 0.139 0.000 0.107
Pd4 Pd 0.153 0.500 0.885
Pd5 Pd 0.249 0.500 0.385
```

Main lines, low angle first (5 to 70 degrees two-theta):
32.96°, 2.717 Å, I = 46, (5 1 -5)
33.53°, 2.673 Å, I = 90, (5 1 1)
33.92°, 2.643 Å, I = 100, (1 1 4)
34.16°, 2.625 Å, I = 33, (7 1 -4)
37.08°, 2.425 Å, I = 25, (8 0 0)
38.68°, 2.328 Å, I = 21, (10 0 -4)
40.01°, 2.254 Å, I = 85, (0 2 0)
40.12°, 2.248 Å, I = 32, (1 1 -6)
41.29°, 2.187 Å, I = 26, (5 1 -7)
42.65°, 2.120 Å, I = 24, (9 1 -6)



(3)
# LiCuPO4
Calculated powder diffraction line list, Cu Kα (weighted mean of Kα1 and Kα2). Input: a cell relaxed with PBE.
Kinematic intensities with the Lorentz-polarization factor, no thermal factor.

Cell and atoms:
```
data_LiCuPO4
_chemical_formula_sum 'Li4 Cu4 P4 O16'
_cell_length_a 10.307
_cell_length_b 6.173
_cell_length_c 4.798
_cell_angle_alpha 90.00
_cell_angle_beta 90.00
_cell_angle_gamma 90.00
_symmetry_space_group_name_H-M 'P n m a'
_symmetry_Int_Tables_number 62
loop_
_symmetry_equiv_pos_as_xyz
'x,y,z'
'-x,-y,-z'
'-x+1/2,-y,z+1/2'
'x+1/2,y,-z+1/2'
'x+1/2,-y+1/2,-z+1/2'
'-x+1/2,y+1/2,z+1/2'
'-x,y+1/2,-z'
'x,-y+1/2,z'
loop_
_atom_site_label
_atom_site_type_symbol
_atom_site_fract_x
_atom_site_fract_y
_atom_site_fract_z
Li1 Li 0.218 0.250 0.035
Cu1 Cu 0.000 0.000 0.500
P1 P 0.096 0.750 0.106
O1 O 0.048 0.250 0.764
O2 O 0.100 0.750 0.789
O3 O 0.155 0.542 0.239
```

Main lines, low angle first (5 to 70 degrees two-theta):
17.21°, 5.154 Å, I = 100, (2 0 0)
20.42°, 4.350 Å, I = 31, (1 0 1)
22.47°, 3.956 Å, I = 30, (2 1 0)
32.04°, 2.793 Å, I = 40, (3 0 1)
35.67°, 2.517 Å, I = 82, (1 2 1)
43.71°, 2.071 Å, I = 20, (3 2 1)
48.04°, 1.894 Å, I = 23, (5 0 1)
51.40°, 1.778 Å, I = 31, (2 2 2)
52.09°, 1.756 Å, I = 13, (4 0 2)
61.81°, 1.501 Å, I = 15, (6 2 0)



(4)
# Ba6Bi2Te3O18
Calculated powder diffraction line list, Cu Kα (weighted mean of Kα1 and Kα2). Input: a cell relaxed with PBE.
Kinematic intensities with the Lorentz-polarization factor, no thermal factor.

Cell and atoms:
```
data_Ba6Bi2Te3O18
_chemical_formula_sum 'Ba12 Bi4 Te6 O36'
_cell_length_a 6.069
_cell_length_b 8.634
_cell_length_c 18.252
_cell_angle_alpha 90.00
_cell_angle_beta 90.00
_cell_angle_gamma 90.00
_symmetry_space_group_name_H-M 'I m m m'
_symmetry_Int_Tables_number 71
_symmetry_space_group_name_Hall '-I 2 2'
loop_
_atom_site_label
_atom_site_type_symbol
_atom_site_fract_x
_atom_site_fract_y
_atom_site_fract_z
Ba1 Ba 0.000 0.221 0.000
Ba2 Ba 0.000 0.267 0.346
Bi1 Bi 0.000 0.500 0.166
Te1 Te 0.000 0.000 0.169
Te2 Te 0.000 0.000 0.500
O1 O 0.000 0.222 0.500
O2 O 0.000 0.231 0.169
O3 O 0.226 0.000 0.094
O4 O 0.230 0.000 0.245
O5 O 0.231 0.000 0.422
```

Main lines, low angle first (5 to 70 degrees two-theta):
20.36°, 4.361 Å, I = 7, (1 1 2)
29.33°, 3.045 Å, I = 100, (1 2 3)
29.44°, 3.034 Å, I = 21, (2 0 0)
41.85°, 2.158 Å, I = 11, (0 4 0)
42.06°, 2.148 Å, I = 23, (2 0 6)
51.97°, 1.760 Å, I = 14, (2 4 0)
52.10°, 1.755 Å, I = 30, (3 2 3)
60.85°, 1.522 Å, I = 16, (2 4 6)
68.80°, 1.364 Å, I = 6, (1 6 3)
69.09°, 1.359 Å, I = 9, (3 2 9)



(5)
# Mg14VSb
Calculated powder diffraction line list, Cu Kα (weighted mean of Kα1 and Kα2). Input: a cell relaxed with PBE.
Kinematic intensities with the Lorentz-polarization factor, no thermal factor.

Cell and atoms:
```
data_Mg14VSb
_chemical_formula_sum 'Mg14 V1 Sb1'
_cell_length_a 6.3183
_cell_length_b 6.3183
_cell_length_c 10.3632
_cell_angle_alpha 90.00
_cell_angle_beta 90.00
_cell_angle_gamma 120.00
_symmetry_space_group_name_H-M 'P -6 m 2'
_symmetry_Int_Tables_number 187
_symmetry_space_group_name_Hall 'P -6 2'
loop_
_atom_site_label
_atom_site_type_symbol
_atom_site_fract_x
_atom_site_fract_y
_atom_site_fract_z
Mg1 Mg 0.0000 0.0000 0.2496
Mg2 Mg 0.0034 0.5017 0.2443
Mg3 Mg 0.3312 0.1656 0.5000
Mg4 Mg 0.3343 0.1672 0.0000
V1 V 0.3333 0.6667 0.0000
Sb1 Sb 0.3333 0.6667 0.5000
```

Main lines, low angle first (5 to 70 degrees two-theta):
16.20°, 5.472 Å, I = 27, (1 0 0)
18.34°, 4.839 Å, I = 13, (1 0 1)
23.65°, 3.762 Å, I = 21, (1 0 2)
32.73°, 2.736 Å, I = 27, (2 0 0)
34.62°, 2.591 Å, I = 27, (0 0 4)
37.16°, 2.419 Å, I = 100, (2 0 2)
48.39°, 1.881 Å, I = 17, (2 0 4)
58.43°, 1.580 Å, I = 17, (2 2 0)
63.72°, 1.461 Å, I = 19, (2 0 6)
69.73°, 1.349 Å, I = 19, (2 2 4)



(6)
# NdScGe
Calculated powder diffraction line list, Cu Kα (weighted mean of Kα1 and Kα2). Input: a cell relaxed with PBE.
Kinematic intensities with the Lorentz-polarization factor, no thermal factor.

Cell and atoms:
```
data_NdScGe
_chemical_formula_sum 'Nd4 Sc4 Ge4'
_cell_length_a 4.326
_cell_length_b 4.326
_cell_length_c 16.023
_cell_angle_alpha 90.00
_cell_angle_beta 90.00
_cell_angle_gamma 90.00
_symmetry_space_group_name_H-M 'I 4/m m m'
_symmetry_Int_Tables_number 139
_symmetry_space_group_name_Hall '-I 4 2'
loop_
_atom_site_label
_atom_site_type_symbol
_atom_site_fract_x
_atom_site_fract_y
_atom_site_fract_z
Nd1 Nd 0.000 0.000 0.177
Sc1 Sc 0.000 0.500 0.000
Ge1 Ge 0.000 0.000 0.377
```

Main lines, low angle first (5 to 70 degrees two-theta):
26.52°, 3.362 Å, I = 62, (1 0 3)
29.20°, 3.059 Å, I = 91, (1 1 0)
31.30°, 2.858 Å, I = 85, (1 1 2)
33.56°, 2.671 Å, I = 31, (0 0 6)
34.84°, 2.575 Å, I = 100, (1 0 5)
36.98°, 2.431 Å, I = 80, (1 1 4)
41.76°, 2.163 Å, I = 78, (2 0 0)
54.60°, 1.681 Å, I = 30, (2 0 6)
55.48°, 1.656 Å, I = 52, (2 1 5)
55.84°, 1.646 Å, I = 31, (1 0 9)



(7)
# Ir
Calculated powder diffraction line list, Cu Kα (weighted mean of Kα1 and Kα2). Input: a cell relaxed with PBE.
Kinematic intensities with the Lorentz-polarization factor, no thermal factor.

Cell and atoms:
```
data_Ir
_chemical_formula_sum 'Ir2'
_cell_length_a 2.7514
_cell_length_b 2.7514
_cell_length_c 4.4623
_cell_angle_alpha 90.00
_cell_angle_beta 90.00
_cell_angle_gamma 120.00
_symmetry_space_group_name_H-M 'P 63/m m c'
_symmetry_Int_Tables_number 194
_symmetry_space_group_name_Hall '-P 6c 2c'
loop_
_atom_site_label
_atom_site_type_symbol
_atom_site_fract_x
_atom_site_fract_y
_atom_site_fract_z
Ir1 Ir 0.3333 0.6667 0.2500
```

Main lines, low angle first (5 to 70 degrees two-theta):
37.75°, 2.383 Å, I = 24, (1 0 0)
40.43°, 2.231 Å, I = 26, (0 0 2)
43.03°, 2.102 Å, I = 100, (1 0 1)
56.50°, 1.629 Å, I = 15, (1 0 2)
68.17°, 1.376 Å, I = 17, (1 1 0)



(8)
# NdV2Fe10N
Calculated powder diffraction line list, Cu Kα (weighted mean of Kα1 and Kα2). Input: a cell relaxed with PBE.
Kinematic intensities with the Lorentz-polarization factor, no thermal factor.

Cell and atoms:
```
data_NdV2Fe10N
_chemical_formula_sum 'Nd2 V4 Fe20 N2'
_cell_length_a 4.828
_cell_length_b 8.539
_cell_length_c 8.599
_cell_angle_alpha 90.00
_cell_angle_beta 90.00
_cell_angle_gamma 90.00
_symmetry_space_group_name_H-M 'I m m m'
_symmetry_Int_Tables_number 71
_symmetry_space_group_name_Hall '-I 2 2'
loop_
_atom_site_label
_atom_site_type_symbol
_atom_site_fract_x
_atom_site_fract_y
_atom_site_fract_z
Nd1 Nd 0.000 0.000 0.000
V1 V 0.000 0.000 0.360
Fe1 Fe 0.000 0.275 0.500
Fe2 Fe 0.000 0.362 0.000
Fe3 Fe 0.000 0.500 0.276
Fe4 Fe 0.250 0.250 0.250
N1 N 0.000 0.500 0.500
```

Main lines, low angle first (5 to 70 degrees two-theta):
29.77°, 3.001 Å, I = 26, (1 2 1)
36.45°, 2.465 Å, I = 16, (1 0 3)
36.65°, 2.452 Å, I = 15, (1 3 0)
37.24°, 2.414 Å, I = 14, (2 0 0)
42.03°, 2.150 Å, I = 28, (0 0 4)
42.38°, 2.133 Å, I = 100, (0 4 0)
43.00°, 2.103 Å, I = 62, (2 0 2)
47.53°, 1.913 Å, I = 9, (0 4 2)
48.20°, 1.888 Å, I = 21, (2 2 2)
61.19°, 1.515 Å, I = 9, (0 4 4)



(9)
# Sr2Mg
Calculated powder diffraction line list, Cu Kα (weighted mean of Kα1 and Kα2). Input: a cell relaxed with PBE.
Kinematic intensities with the Lorentz-polarization factor, no thermal factor.

Cell and atoms:
```
data_Sr2Mg
_chemical_formula_sum 'Sr4 Mg2'
_cell_length_a 4.2573
_cell_length_b 4.2573
_cell_length_c 17.3758
_cell_angle_alpha 90.00
_cell_angle_beta 90.00
_cell_angle_gamma 120.00
_symmetry_space_group_name_H-M 'P -6 m 2'
_symmetry_Int_Tables_number 187
_symmetry_space_group_name_Hall 'P -6 2'
loop_
_atom_site_label
_atom_site_type_symbol
_atom_site_fract_x
_atom_site_fract_y
_atom_site_fract_z
Sr1 Sr 0.0000 0.0000 0.0000
Sr2 Sr 0.0000 0.0000 0.3001
Sr3 Sr 0.6667 0.3333 0.5000
Mg1 Mg 0.6667 0.3333 0.1495
```

Main lines, low angle first (5 to 70 degrees two-theta):
20.44°, 4.344 Å, I = 13, (0 0 4)
24.14°, 3.687 Å, I = 39, (1 0 0)
26.26°, 3.394 Å, I = 15, (1 0 2)
28.70°, 3.110 Å, I = 100, (1 0 3)
31.84°, 2.811 Å, I = 12, (1 0 4)
42.47°, 2.129 Å, I = 27, (1 1 0)
43.97°, 2.059 Å, I = 19, (1 0 7)
52.06°, 1.757 Å, I = 19, (2 0 3)
53.42°, 1.715 Å, I = 12, (1 1 6)
69.36°, 1.355 Å, I = 16, (2 1 3)



(10)
# ErSn3
Calculated powder diffraction line list, Cu Kα (weighted mean of Kα1 and Kα2). Input: a cell relaxed with PBE.
Kinematic intensities with the Lorentz-polarization factor, no thermal factor.

Cell and atoms:
```
data_ErSn3
_chemical_formula_sum 'Er1 Sn3'
_cell_length_a 4.706
_cell_length_b 4.706
_cell_length_c 4.706
_cell_angle_alpha 90.00
_cell_angle_beta 90.00
_cell_angle_gamma 90.00
_symmetry_space_group_name_H-M 'P m -3 m'
_symmetry_Int_Tables_number 221
_symmetry_space_group_name_Hall '-P 4 2 3'
loop_
_atom_site_label
_atom_site_type_symbol
_atom_site_fract_x
_atom_site_fract_y
_atom_site_fract_z
Er1 Er 0.000 0.000 0.000
Sn1 Sn 0.000 0.500 0.500
```

Main lines, low angle first (5 to 70 degrees two-theta):
18.86°, 4.706 Å, I = 2, (1 0 0)
26.79°, 3.328 Å, I = 2, (1 1 0)
32.96°, 2.717 Å, I = 100, (1 1 1)
38.25°, 2.353 Å, I = 50, (2 0 0)
42.97°, 2.105 Å, I = 1, (2 1 0)
47.31°, 1.921 Å, I = 1, (2 1 1)
55.20°, 1.664 Å, I = 36, (2 2 0)
65.81°, 1.419 Å, I = 43, (3 1 1)
69.14°, 1.359 Å, I = 12, (2 2 2)



(11)
# Ho2CuRu
Calculated powder diffraction line list, Cu Kα (weighted mean of Kα1 and Kα2). Input: a cell relaxed with PBE.
Kinematic intensities with the Lorentz-polarization factor, no thermal factor.

Cell and atoms:
```
data_Ho2CuRu
_chemical_formula_sum 'Ho8 Cu4 Ru4'
_cell_length_a 6.838
_cell_length_b 6.838
_cell_length_c 6.838
_cell_angle_alpha 90.00
_cell_angle_beta 90.00
_cell_angle_gamma 90.00
_symmetry_space_group_name_H-M 'F m -3 m'
_symmetry_Int_Tables_number 225
_symmetry_space_group_name_Hall '-F 4 2 3'
loop_
_atom_site_label
_atom_site_type_symbol
_atom_site_fract_x
_atom_site_fract_y
_atom_site_fract_z
Ho1 Ho 0.250 0.250 0.250
Cu1 Cu 0.000 0.000 0.000
Ru1 Ru 0.000 0.000 0.500
```

Main lines, low angle first (5 to 70 degrees two-theta):
22.52°, 3.948 Å, I = 1, (1 1 1)
26.06°, 3.419 Å, I = 12, (2 0 0)
37.19°, 2.418 Å, I = 100, (2 2 0)
43.92°, 2.062 Å, I = 1, (3 1 1)
45.98°, 1.974 Å, I = 4, (2 2 2)
53.61°, 1.709 Å, I = 17, (4 0 0)
60.56°, 1.529 Å, I = 5, (4 2 0)
67.05°, 1.396 Å, I = 35, (4 2 2)



(12)
# Mn2SbN3
Calculated powder diffraction line list, Cu Kα (weighted mean of Kα1 and Kα2). Input: a cell relaxed with PBE.
Kinematic intensities with the Lorentz-polarization factor, no thermal factor.

Cell and atoms:
```
data_Mn2SbN3
_chemical_formula_sum 'Mn16 Sb8 N24'
_cell_length_a 5.613
_cell_length_b 13.229
_cell_length_c 8.056
_cell_angle_alpha 90.00
_cell_angle_beta 96.01
_cell_angle_gamma 90.00
_symmetry_space_group_name_H-M 'C 1 2/c 1'
_symmetry_Int_Tables_number 15
loop_
_symmetry_equiv_pos_as_xyz
'x,y,z'
'-x,-y,-z'
'-x,y,-z+1/2'
'x,-y,z+1/2'
'x+1/2,y+1/2,z'
'-x+1/2,-y+1/2,-z'
'-x+1/2,y+1/2,-z+1/2'
'x+1/2,-y+1/2,z+1/2'
loop_
_atom_site_label
_atom_site_type_symbol
_atom_site_fract_x
_atom_site_fract_y
_atom_site_fract_z
Mn1 Mn 0.151 0.163 0.429
Mn2 Mn 0.222 0.260 0.156
Sb1 Sb 0.219 0.489 0.888
N1 N 0.000 0.068 0.250
N2 N 0.000 0.271 0.750
N3 N 0.135 0.302 0.378
N4 N 0.159 0.151 0.997
```

Main lines, low angle first (5 to 70 degrees two-theta):
26.86°, 3.319 Å, I = 63, (1 1 -2)
26.96°, 3.307 Å, I = 53, (0 4 0)
29.56°, 3.022 Å, I = 38, (1 1 2)
32.07°, 2.791 Å, I = 57, (2 0 0)
33.09°, 2.707 Å, I = 45, (1 3 -2)
35.36°, 2.538 Å, I = 100, (1 3 2)
42.37°, 2.133 Å, I = 33, (2 4 0)
52.48°, 1.744 Å, I = 22, (3 1 -2)
53.47°, 1.714 Å, I = 33, (0 4 4)
60.82°, 1.523 Å, I = 26, (3 3 2)